For MnSn, a structure optimized by DFT (PBE) gives the calculated X-ray powder pattern in this record (Cu Kα X-rays).
Intensities are scaled so that the largest is 1000.

Most intense lines, 10 to 80 degrees two-theta, in order of rising 2θ:
| 2theta | Rel. int. | (hkl) |
| --- | --- | --- |
| 26.81 | 164 | 1 0 0 |
| 38.28 | 1000 | 1 1 0 |
| 47.35 | 54 | 1 1 1 |
| 55.25 | 171 | 2 0 0 |
| 62.45 | 79 | 2 1 0 |
| 69.20 | 348 | 2 1 1 |

Cell and atoms:
a b c (Å): 3.3254 3.3254 3.3254
angles (deg): 90.00 90.00 90.00
Atoms (fractional coordinates):
Mn 0.0000 0.0000 0.0000
Sn 0.5000 0.5000 0.5000